(1)
The following is a theoretical powder X-ray diffraction pattern of PmNd4Tm7. It was derived from a crystal structure in Alexandria, relaxed with GGA-PBE, using CuKα.
Kinematic intensities with the Lorentz-polarization factor, no thermal factor.

Main lines, by angle (2θ = 10–90°):
2θ 30.7, d = 2.913 Å, intensity 100
2θ 30.9, d = 2.896 Å, intensity 33
2θ 35.6, d = 2.521 Å, intensity 45
2θ 35.7, d = 2.515 Å, intensity 22
2θ 51.1, d = 1.788 Å, intensity 8
2θ 51.2, d = 1.784 Å, intensity 16
2θ 51.4, d = 1.777 Å, intensity 16
2θ 60.8, d = 1.523 Å, intensity 14
2θ 61.0, d = 1.520 Å, intensity 19
2θ 61.0, d = 1.518 Å, intensity 9
2θ 61.2, d = 1.515 Å, intensity 9
2θ 63.9, d = 1.458 Å, intensity 8

Cell and atoms:
abc: 7.1134 7.9538 7.9631
angles: 95.91 116.36 102.55
Space group P-1 (No. 2)
Unique sites:
Pm: 0.0000 0.0000 0.0000 (multiplicity 1)
Nd: 0.2482 0.3325 0.8310 (multiplicity 2)
Nd: 0.4992 0.6677 0.6646 (multiplicity 2)
Tm: 0.0019 0.6687 0.6684 (multiplicity 2)
Tm: 0.2495 0.6676 0.1656 (multiplicity 2)
Tm: 0.2509 0.0008 0.5014 (multiplicity 2)
Tm: 0.5000 0.0000 0.0000 (multiplicity 1)

=====

(2)
The following is a theoretical powder X-ray diffraction pattern of PmNdTm2. It was derived from a crystal structure in Alexandria, relaxed with GGA-PBE, using CuKα.
Kinematic intensities with the Lorentz-polarization factor, no thermal factor.

Main lines, by angle (2θ = 10–90°):
2θ 29.1, d = 3.066 Å, intensity 33
2θ 30.9, d = 2.891 Å, intensity 50
2θ 31.5, d = 2.842 Å, intensity 100
2θ 34.0, d = 2.638 Å, intensity 83
2θ 38.9, d = 2.318 Å, intensity 15
2θ 50.8, d = 1.799 Å, intensity 38
2θ 53.7, d = 1.707 Å, intensity 22
2θ 58.6, d = 1.575 Å, intensity 18
2θ 60.6, d = 1.527 Å, intensity 45
2θ 61.0, d = 1.520 Å, intensity 15
2θ 62.5, d = 1.486 Å, intensity 14
2θ 86.3, d = 1.127 Å, intensity 17

Cell and atoms:
abc: 3.5974 3.5974 34.6923
angles: 90.00 90.00 120.00
Space group R3m (No. 160, hexagonal axes)
Unique sites:
Pm: 0.0000 0.0000 0.0000 (multiplicity 3)
Nd: 0.0000 0.0000 0.1659 (multiplicity 3)
Tm: 0.0000 0.0000 0.5827 (multiplicity 3)
Tm: 0.0000 0.0000 0.7495 (multiplicity 3)

=====

(3)
The following is a theoretical powder X-ray diffraction pattern of Pm2NdTm4. It was derived from a crystal structure in Alexandria, relaxed with GGA-PBE, using CuKα.
Kinematic intensities with the Lorentz-polarization factor, no thermal factor.

Main lines, by angle (2θ = 10–90°):
2θ 26.3, d = 3.389 Å, intensity 16
2θ 29.7, d = 3.004 Å, intensity 35
2θ 30.9, d = 2.895 Å, intensity 65
2θ 31.3, d = 2.862 Å, intensity 29
2θ 32.2, d = 2.782 Å, intensity 100
2θ 32.5, d = 2.759 Å, intensity 96
2θ 37.4, d = 2.405 Å, intensity 19
2θ 43.4, d = 2.085 Å, intensity 24
2θ 49.2, d = 1.853 Å, intensity 18
2θ 55.6, d = 1.654 Å, intensity 20
2θ 56.1, d = 1.639 Å, intensity 19
2θ 58.9, d = 1.569 Å, intensity 12

Cell and atoms:
abc: 6.0086 8.5327 9.8703
angles: 85.05 72.31 69.45
Space group P1 (No. 1)
Unique sites:
Pm: 0.0000 0.0000 0.0000 (multiplicity 1)
Pm: 0.0018 0.9328 0.3645 (multiplicity 1)
Pm: 0.1904 0.4991 0.4999 (multiplicity 1)
Pm: 0.2992 0.0665 0.6355 (multiplicity 1)
Nd: 0.1876 0.5672 0.1362 (multiplicity 1)
Nd: 0.8905 0.4325 0.8640 (multiplicity 1)
Tm: 0.3706 0.6462 0.7733 (multiplicity 1)
Tm: 0.4016 0.1447 0.2737 (multiplicity 1)
Tm: 0.4431 0.2103 0.9207 (multiplicity 1)
Tm: 0.5743 0.7891 0.0797 (multiplicity 1)
Tm: 0.6152 0.7110 0.4205 (multiplicity 1)
Tm: 0.7464 0.2881 0.5798 (multiplicity 1)
Tm: 0.7912 0.3532 0.2269 (multiplicity 1)
Tm: 0.8193 0.8540 0.7262 (multiplicity 1)